1.
Tb5NdTm3: calculated powder diffractogram (Cu Kα), based on a structure optimized by DFT (GGA-PBE).

Most intense lines, 15° ≤ 2θ ≤ 90°, sorted by position:
Position (°2θ)	I_rel
30.67	25
31.35	29
31.56	100
31.75	17
32.03	11
32.58	18
34.63	9
39.21	9
56.08	9
56.43	10
56.78	13
65.84	10

Atomic structure:
Cell: 8.761 8.761 11.348 Å, 106.87 106.87 44.80°
Atoms (fractional coordinates):
Tb: 0.103 0.114 0.046
Tb: 0.114 0.103 0.546
Tb: 0.182 0.818 0.750
Tb: 0.209 0.440 0.628
Tb: 0.440 0.209 0.128
Tb: 0.560 0.791 0.872
Tb: 0.791 0.560 0.372
Tb: 0.818 0.182 0.250
Tb: 0.886 0.897 0.454
Tb: 0.897 0.886 0.954
Nd: 0.271 0.729 0.250
Nd: 0.729 0.271 0.750
Tm: 0.120 0.356 0.858
Tm: 0.356 0.120 0.358
Tm: 0.500 0.500 0.000
Tm: 0.500 0.500 0.500
Tm: 0.644 0.880 0.642
Tm: 0.880 0.644 0.142

---

2.
Tb3Nd2Tm9: calculated powder diffractogram (Cu Kα), based on a structure optimized by DFT (GGA-PBE).

Most intense lines, 15° ≤ 2θ ≤ 90°, sorted by position:
Position (°2θ)	I_rel
31.27	18
31.52	100
31.71	22
32.21	30
32.33	47
33.14	44
34.46	24
34.57	36
48.64	20
53.25	14
59.60	13
61.01	12

Atomic structure:
Cell: 6.174 8.663 8.704 Å, 78.59 86.18 78.00°
Atoms (fractional coordinates):
Tb: 0.000 0.000 0.000
Tb: 0.261 0.271 0.383
Tb: 0.739 0.729 0.617
Nd: 0.459 0.706 0.972
Nd: 0.541 0.294 0.028
Tm: 0.000 0.500 0.000
Tm: 0.092 0.691 0.318
Tm: 0.183 0.895 0.621
Tm: 0.348 0.492 0.666
Tm: 0.488 0.916 0.256
Tm: 0.512 0.084 0.744
Tm: 0.652 0.508 0.334
Tm: 0.817 0.105 0.379
Tm: 0.908 0.309 0.682

---

3.
Tb4Nd5Tm: calculated powder diffractogram (Cu Kα), based on a structure optimized by DFT (GGA-PBE).

Most intense lines, 15° ≤ 2θ ≤ 90°, sorted by position:
Position (°2θ)	I_rel
29.19	33
30.69	65
30.78	18
31.25	100
32.28	52
32.83	57
40.81	12
48.50	17
53.92	12
54.22	13
56.25	13
58.21	12

Atomic structure:
Cell: 3.580 8.991 11.540 Å, 112.33 90.87 100.77°
Atoms (fractional coordinates):
Tb: 0.107 0.207 0.117
Tb: 0.245 0.412 0.716
Tb: 0.755 0.588 0.284
Tb: 0.893 0.793 0.883
Nd: 0.000 0.000 0.500
Nd: 0.339 0.695 0.578
Nd: 0.471 0.891 0.189
Nd: 0.529 0.109 0.811
Nd: 0.661 0.305 0.422
Tm: 0.000 0.500 0.000

---

4.
Tb2Nd6Tm5: calculated powder diffractogram (Cu Kα), based on a structure optimized by DFT (GGA-PBE).

Most intense lines, 15° ≤ 2θ ≤ 90°, sorted by position:
Position (°2θ)	I_rel
27.23	20
30.29	17
30.87	44
31.22	46
31.56	53
31.69	17
31.88	100
33.99	27
34.95	18
36.33	23
50.41	19
60.72	22

Atomic structure:
Cell: 11.705 20.456 3.620 Å, 90.00 90.00 90.00°
Atoms (fractional coordinates):
Tb: 0.164 0.212 0.000
Tb: 0.336 0.712 0.000
Tb: 0.664 0.288 0.000
Tb: 0.836 0.788 0.000
Nd: 0.059 0.921 0.000
Nd: 0.083 0.634 0.000
Nd: 0.173 0.368 0.500
Nd: 0.327 0.868 0.500
Nd: 0.417 0.134 0.000
Nd: 0.441 0.421 0.000
Nd: 0.559 0.579 0.000
Nd: 0.583 0.866 0.000
Nd: 0.673 0.132 0.500
Nd: 0.827 0.632 0.500
Nd: 0.917 0.366 0.000
Nd: 0.941 0.079 0.000
Tm: 0.000 0.500 0.500
Tm: 0.095 0.775 0.500
Tm: 0.199 0.056 0.500
Tm: 0.301 0.556 0.500
Tm: 0.405 0.275 0.500
Tm: 0.500 0.000 0.500
Tm: 0.595 0.725 0.500
Tm: 0.699 0.444 0.500
Tm: 0.801 0.944 0.500
Tm: 0.905 0.225 0.500

---

5.
Tb2Nd6Tm3: calculated powder diffractogram (Cu Kα), based on a structure optimized by DFT (GGA-PBE).

Most intense lines, 15° ≤ 2θ ≤ 90°, sorted by position:
Position (°2θ)	I_rel
30.35	100
30.40	33
35.16	45
35.30	22
50.63	24
50.72	16
60.06	14
60.17	24
60.29	10
60.37	9
63.22	12
82.56	10

Atomic structure:
Cell: 6.241 8.038 8.081 Å, 107.40 97.38 104.89°
Atoms (fractional coordinates):
Tb: 0.229 0.411 0.047
Tb: 0.771 0.589 0.953
Nd: 0.047 0.682 0.409
Nd: 0.136 0.046 0.231
Nd: 0.320 0.771 0.865
Nd: 0.680 0.229 0.135
Nd: 0.864 0.954 0.769
Nd: 0.953 0.318 0.591
Tm: 0.410 0.138 0.682
Tm: 0.500 0.500 0.500
Tm: 0.590 0.862 0.318

---

6.
Tb2NdTm9: calculated powder diffractogram (Cu Kα), based on a structure optimized by DFT (GGA-PBE).

Most intense lines, 15° ≤ 2θ ≤ 90°, sorted by position:
Position (°2θ)	I_rel
31.16	100
36.13	51
52.03	36
61.90	43
64.98	12
76.67	6
85.05	18
87.81	17

Atomic structure:
Cell: 4.973 4.973 14.905 Å, 90.00 90.00 90.00°
Atoms (fractional coordinates):
Tb: 0.000 0.000 0.166
Tb: 0.000 0.000 0.834
Nd: 0.000 0.000 0.500
Tm: 0.000 0.500 0.000
Tm: 0.000 0.500 0.332
Tm: 0.000 0.500 0.668
Tm: 0.500 0.000 0.000
Tm: 0.500 0.000 0.332
Tm: 0.500 0.000 0.668
Tm: 0.500 0.500 0.165
Tm: 0.500 0.500 0.500
Tm: 0.500 0.500 0.835

---

7.
Tb7NdTm4: calculated powder diffractogram (Cu Kα), based on a structure optimized by DFT (GGA-PBE).

Most intense lines, 15° ≤ 2θ ≤ 90°, sorted by position:
Position (°2θ)	I_rel
29.04	37
29.67	17
31.37	51
32.09	100
33.80	91
51.08	39
55.21	14
58.46	13
61.14	30
61.27	15
62.67	15
84.03	11

Atomic structure:
Cell: 6.192 7.155 8.806 Å, 89.97 76.27 89.94°
Atoms (fractional coordinates):
Tb: 0.000 0.000 0.000
Tb: 0.222 0.500 0.335
Tb: 0.280 0.248 0.664
Tb: 0.500 0.248 0.001
Tb: 0.500 0.752 0.999
Tb: 0.720 0.752 0.336
Tb: 0.778 0.500 0.665
Nd: 0.000 0.500 0.000
Tm: 0.220 0.000 0.335
Tm: 0.279 0.752 0.665
Tm: 0.721 0.248 0.335
Tm: 0.780 0.000 0.665

---

8.
Tb6Nd3Tm2: calculated powder diffractogram (Cu Kα), based on a structure optimized by DFT (GGA-PBE).

Most intense lines, 15° ≤ 2θ ≤ 90°, sorted by position:
Position (°2θ)	I_rel
30.58	100
30.68	32
35.48	67
50.99	24
51.12	23
60.67	42
60.81	13
63.65	13
75.10	7
83.11	12
85.80	11
86.01	10

Atomic structure:
Cell: 32.120 32.120 32.120 Å, 6.39 6.39 6.39°
Atoms (fractional coordinates):
Tb: 0.092 0.092 0.092
Tb: 0.182 0.182 0.182
Tb: 0.364 0.364 0.364
Tb: 0.636 0.636 0.636
Tb: 0.818 0.818 0.818
Tb: 0.908 0.908 0.908
Nd: 0.000 0.000 0.000
Nd: 0.272 0.272 0.272
Nd: 0.728 0.728 0.728
Tm: 0.455 0.455 0.455
Tm: 0.545 0.545 0.545

---

9.
TbNd10Tm4: calculated powder diffractogram (Cu Kα), based on a structure optimized by DFT (GGA-PBE).

Most intense lines, 15° ≤ 2θ ≤ 90°, sorted by position:
Position (°2θ)	I_rel
21.48	19
26.28	24
27.99	12
28.19	77
30.18	15
31.88	100
32.79	34
33.32	13
40.29	28
41.04	22
45.02	13
58.99	20

Atomic structure:
Cell: 8.906 8.906 8.906 Å, 111.62 111.62 105.26°
Atoms (fractional coordinates):
Tb: 0.000 0.000 0.000
Nd: 0.047 0.941 0.653
Nd: 0.059 0.713 0.107
Nd: 0.250 0.750 0.500
Nd: 0.287 0.394 0.347
Nd: 0.394 0.047 0.107
Nd: 0.606 0.953 0.893
Nd: 0.713 0.606 0.653
Nd: 0.750 0.250 0.500
Nd: 0.941 0.287 0.893
Nd: 0.953 0.059 0.347
Tm: 0.224 0.554 0.778
Tm: 0.446 0.224 0.669
Tm: 0.554 0.776 0.331
Tm: 0.776 0.446 0.222

---

10.
Tb4NdTm3: calculated powder diffractogram (Cu Kα), based on a structure optimized by DFT (GGA-PBE).

Most intense lines, 15° ≤ 2θ ≤ 90°, sorted by position:
Position (°2θ)	I_rel
27.49	14
28.82	29
31.49	100
31.73	48
32.58	13
32.61	12
34.94	33
46.13	19
51.39	12
56.37	19
61.67	14
61.86	16

Atomic structure:
Cell: 13.280 13.280 3.556 Å, 90.05 90.05 24.52°
Atoms (fractional coordinates):
Tb: 0.105 0.105 0.000
Tb: 0.224 0.224 0.999
Tb: 0.776 0.776 0.001
Tb: 0.895 0.895 0.000
Nd: 0.000 0.000 0.500
Tm: 0.344 0.344 0.500
Tm: 0.500 0.500 0.000
Tm: 0.656 0.656 0.500

---

11.
Tb2Nd5Tm4: calculated powder diffractogram (Cu Kα), based on a structure optimized by DFT (GGA-PBE).

Most intense lines, 15° ≤ 2θ ≤ 90°, sorted by position:
Position (°2θ)	I_rel
29.81	25
30.18	21
30.73	32
30.91	64
31.87	100
32.83	42
33.84	25
51.58	17
54.68	17
55.59	20
61.35	18
61.92	30

Atomic structure:
Cell: 8.999 8.999 11.610 Å, 93.91 93.91 22.71°
Atoms (fractional coordinates):
Tb: 0.216 0.216 0.351
Tb: 0.784 0.784 0.649
Nd: 0.000 0.000 0.000
Nd: 0.324 0.324 0.930
Nd: 0.404 0.404 0.465
Nd: 0.596 0.596 0.535
Nd: 0.676 0.676 0.070
Tm: 0.140 0.140 0.795
Tm: 0.466 0.466 0.741
Tm: 0.534 0.534 0.259
Tm: 0.860 0.860 0.205

---

12.
TbNd12Tm5: calculated powder diffractogram (Cu Kα), based on a structure optimized by DFT (GGA-PBE).

Most intense lines, 15° ≤ 2θ ≤ 90°, sorted by position:
Position (°2θ)	I_rel
30.21	100
34.94	34
35.20	17
50.25	12
50.44	24
59.75	22
59.79	7
60.10	14
62.83	12
81.77	6
82.04	9
84.35	7

Atomic structure:
Cell: 10.847 5.136 10.865 Å, 90.00 90.40 90.00°
Atoms (fractional coordinates):
Tb: 0.000 0.000 0.000
Nd: 0.002 0.000 0.668
Nd: 0.165 0.500 0.165
Nd: 0.169 0.500 0.502
Nd: 0.332 0.000 0.998
Nd: 0.336 0.000 0.336
Nd: 0.498 0.500 0.831
Nd: 0.502 0.500 0.169
Nd: 0.664 0.000 0.664
Nd: 0.668 0.000 0.002
Nd: 0.831 0.500 0.498
Nd: 0.835 0.500 0.835
Nd: 0.998 0.000 0.332
Tm: 0.167 0.500 0.833
Tm: 0.333 0.000 0.667
Tm: 0.500 0.500 0.500
Tm: 0.667 0.000 0.333
Tm: 0.833 0.500 0.167

---

Q: Which formula does entry 4 have?
A: Tb2Nd6Tm5